# 1
The following is a computed X-ray diffraction stick pattern of TcBiPd. It was derived from a crystal structure in Alexandria, relaxed with PBE, using Cu Kα, 1.54184 Å.

Structural model:
```
TcBiPd
1.0
12.892 0.000 0.000
0.000 3.237 0.000
0.000 0.000 5.601
Tc Bi Pd
4 4 4
Cartesian
1.962 0.000 0.000 Tc
1.962 1.619 2.800 Tc
10.930 0.000 0.000 Tc
10.930 1.619 2.800 Tc
4.048 0.000 1.899 Bi
4.048 1.619 4.699 Bi
8.844 0.000 1.899 Bi
8.844 1.619 4.699 Bi
0.000 0.000 1.869 Pd
0.000 1.619 4.669 Pd
6.446 0.000 0.315 Pd
6.446 1.619 3.115 Pd
```

Largest 8 diffraction maxima, by angle, 2θ = 10–80°:
d 2.802, rel. 36
d 2.569, rel. 11
d 2.347, rel. 100
d 2.149, rel. 13
d 1.705, rel. 11
d 1.618, rel. 22
d 1.332, rel. 16
d 1.292, rel. 14

# 2
The following is a computed X-ray diffraction stick pattern of Bi2Te2Pd. It was derived from a crystal structure in Alexandria, relaxed with PBE, using Cu Kα, 1.54184 Å.

Structural model:
```
Bi2Te2Pd
1.0
3.324 -3.244 0.000
3.324 3.244 0.000
-2.784 0.000 13.532
Bi Te Pd
4 4 2
Cartesian
1.106 0.229 1.449 Bi
-0.286 -0.229 8.215 Bi
4.149 0.229 5.317 Bi
2.757 -0.229 12.083 Bi
0.863 0.303 5.052 Te
-0.529 -0.303 11.818 Te
4.392 0.303 1.714 Te
3.000 -0.303 8.480 Te
2.628 1.954 3.383 Pd
1.236 -1.954 10.149 Pd
```

Largest 8 diffraction maxima, by angle, 2θ = 10–80°:
d 3.383, rel. 61
d 3.250, rel. 100
d 2.727, rel. 31
d 2.634, rel. 25
d 2.625, rel. 66
d 2.342, rel. 69
d 2.298, rel. 60
d 2.041, rel. 26

# 3
The following is a computed X-ray diffraction stick pattern of Bi3TePd12. It was derived from a crystal structure in Alexandria, relaxed with PBE, using Cu Kα, 1.54184 Å.

Structural model:
```
Bi3TePd12
1.0
4.121 0.000 0.000
0.000 4.121 0.000
0.000 0.000 16.585
Bi Te Pd
3 1 12
Cartesian
0.000 0.000 0.000 Bi
0.000 0.000 4.207 Bi
0.000 0.000 12.378 Bi
0.000 0.000 8.293 Te
0.000 2.061 2.073 Pd
0.000 2.061 6.232 Pd
0.000 2.061 10.354 Pd
0.000 2.061 14.512 Pd
2.061 0.000 2.073 Pd
2.061 0.000 6.232 Pd
2.061 0.000 10.354 Pd
2.061 0.000 14.512 Pd
2.061 2.061 0.000 Pd
2.061 2.061 4.119 Pd
2.061 2.061 8.293 Pd
2.061 2.061 12.466 Pd
```

Largest 8 diffraction maxima, by angle, 2θ = 10–80°:
d 2.920, rel. 6
d 2.384, rel. 100
d 2.073, rel. 16
d 2.061, rel. 33
d 1.461, rel. 21
d 1.457, rel. 11
d 1.249, rel. 12
d 1.243, rel. 25

# 4
The following is a computed X-ray diffraction stick pattern of BiTe3Pd2. It was derived from a crystal structure in Alexandria, relaxed with PBE, using Cu Kα, 1.54184 Å.

Structural model:
```
BiTe3Pd2
1.0
8.236 0.000 0.000
-4.118 7.133 0.000
0.000 0.000 5.306
Bi Te Pd
2 6 4
Cartesian
0.000 4.755 1.040 Bi
4.118 2.378 4.266 Bi
0.000 2.457 3.987 Te
-1.990 5.904 3.987 Te
2.128 1.229 1.319 Te
1.990 5.904 3.987 Te
6.108 1.229 1.319 Te
4.118 4.676 1.319 Te
0.000 0.000 2.653 Pd
-2.059 3.566 2.653 Pd
4.118 0.000 2.653 Pd
2.059 3.566 2.653 Pd
```

Largest 8 diffraction maxima, by angle, 2θ = 10–80°:
d 2.960, rel. 100
d 2.129, rel. 32
d 2.059, rel. 37
d 1.690, rel. 19
d 1.585, rel. 11
d 1.480, rel. 10
d 1.306, rel. 16
d 1.202, rel. 10

# 5
The following is a computed X-ray diffraction stick pattern of Bi5TePd4. It was derived from a crystal structure in Alexandria, relaxed with PBE, using Cu Kα, 1.54184 Å.

Structural model:
```
Bi5TePd4
1.0
8.524 -2.253 0.000
8.524 2.253 0.000
-1.663 0.000 6.757
Bi Te Pd
5 1 4
Cartesian
0.000 0.000 0.000 Bi
4.707 0.000 2.601 Bi
4.341 0.000 6.087 Bi
11.043 0.000 0.670 Bi
10.677 0.000 4.155 Bi
-0.832 0.000 3.378 Te
1.867 0.000 2.395 Pd
6.888 0.000 4.732 Pd
8.496 0.000 2.024 Pd
13.517 0.000 4.362 Pd
```

Largest 8 diffraction maxima, by angle, 2θ = 10–80°:
d 5.981, rel. 40
d 3.490, rel. 77
d 2.758, rel. 82
d 2.635, rel. 41
d 2.590, rel. 100
d 2.323, rel. 76
d 2.253, rel. 64
d 1.745, rel. 35

# 6
The following is a computed X-ray diffraction stick pattern of BiTePd2. It was derived from a crystal structure in Alexandria, relaxed with PBE, using Cu Kα, 1.54184 Å.

Structural model:
```
BiTePd2
1.0
8.541 0.000 0.000
0.000 7.376 0.000
0.000 0.000 5.743
Bi Te Pd
4 4 8
Cartesian
1.034 0.680 1.436 Bi
1.034 3.008 4.307 Bi
7.507 4.368 1.436 Bi
7.507 6.696 4.307 Bi
3.176 4.219 1.436 Te
3.176 6.845 4.307 Te
5.365 0.531 1.436 Te
5.365 3.157 4.307 Te
1.189 5.532 0.000 Pd
1.189 5.532 2.871 Pd
3.301 1.844 0.000 Pd
3.301 1.844 2.871 Pd
5.240 5.532 0.000 Pd
5.240 5.532 2.871 Pd
7.353 1.844 0.000 Pd
7.353 1.844 2.871 Pd
```

Largest 8 diffraction maxima, by angle, 2θ = 10–80°:
d 3.106, rel. 100
d 2.267, rel. 75
d 2.132, rel. 63
d 1.759, rel. 13
d 1.699, rel. 18
d 1.553, rel. 22
d 1.356, rel. 10
d 1.255, rel. 14

# 7
The following is a computed X-ray diffraction stick pattern of BiTe2Pd. It was derived from a crystal structure in Alexandria, relaxed with PBE, using Cu Kα, 1.54184 Å.

Structural model:
```
BiTe2Pd
1.0
4.085 0.000 0.000
-0.386 5.031 0.000
-1.362 -2.188 5.518
Bi Te Pd
1 2 1
Cartesian
0.000 0.000 0.000 Bi
0.957 2.582 1.659 Te
1.381 0.261 3.858 Te
-0.681 -1.094 2.759 Pd
```

Largest 8 diffraction maxima, by angle, 2θ = 10–80°:
d 3.698, rel. 56
d 3.289, rel. 46
d 3.055, rel. 41
d 2.887, rel. 100
d 2.786, rel. 97
d 2.607, rel. 36
d 2.174, rel. 40
d 2.018, rel. 37

# 8
The following is a computed X-ray diffraction stick pattern of Tl3BiTe2Pd9. It was derived from a crystal structure in Alexandria, relaxed with PBE, using Cu Kα, 1.54184 Å.

Structural model:
```
Tl3BiTe2Pd9
1.0
7.105 0.000 0.000
-3.552 6.153 0.000
0.000 0.000 8.654
Tl Bi Te Pd
3 1 2 9
Cartesian
0.000 0.000 0.000 Tl
0.000 4.102 6.390 Tl
3.552 2.051 2.264 Tl
0.000 0.000 4.327 Bi
0.000 4.102 1.817 Te
3.552 2.051 6.837 Te
-1.776 3.076 0.000 Pd
0.000 1.619 2.159 Pd
-2.150 5.344 2.159 Pd
1.402 0.809 6.495 Pd
3.552 0.000 0.000 Pd
1.776 3.076 0.000 Pd
2.150 5.344 2.159 Pd
5.703 0.809 6.495 Pd
3.552 4.534 6.495 Pd
```

Largest 8 diffraction maxima, by angle, 2θ = 10–80°:
d 8.654, rel. 25
d 3.549, rel. 68
d 2.899, rel. 41
d 2.507, rel. 100
d 2.164, rel. 23
d 2.049, rel. 50
d 1.776, rel. 31
d 1.373, rel. 22

# 9
The following is a computed X-ray diffraction stick pattern of VBiTe2Pd. It was derived from a crystal structure in Alexandria, relaxed with PBE, using Cu Kα, 1.54184 Å.

Structural model:
```
VBiTe2Pd
1.0
5.320 0.000 0.000
0.000 5.320 0.000
0.000 0.000 5.207
V Bi Te Pd
1 1 2 1
Cartesian
0.000 0.000 0.000 V
2.660 2.660 0.000 Bi
0.000 2.660 2.603 Te
2.660 0.000 2.603 Te
2.660 2.660 2.603 Pd
```

Largest 8 diffraction maxima, by angle, 2θ = 10–80°:
d 5.320, rel. 83
d 3.049, rel. 100
d 2.660, rel. 83
d 2.603, rel. 39
d 1.881, rel. 30
d 1.861, rel. 58
d 1.601, rel. 30
d 1.525, rel. 30

# 10
The following is a computed X-ray diffraction stick pattern of Th3Bi4Pd3. It was derived from a crystal structure in Alexandria, relaxed with PBE, using Cu Kα, 1.54184 Å.

Structural model:
```
Th3Bi4Pd3
1.0
-5.058 5.058 5.058
5.058 -5.058 5.058
5.058 5.058 -5.058
Th Bi Pd
6 8 6
Cartesian
7.587 1.264 0.000 Th
3.793 0.000 2.529 Th
2.529 3.793 0.000 Th
0.000 2.529 3.793 Th
1.264 0.000 7.587 Th
0.000 7.587 1.264 Th
4.176 0.882 -0.882 Bi
6.705 -1.647 1.647 Bi
0.882 0.882 0.882 Bi
0.882 -0.882 4.176 Bi
-0.882 4.176 0.882 Bi
1.647 6.705 -1.647 Bi
3.411 3.411 3.411 Bi
-1.647 1.647 6.705 Bi
5.058 -2.529 3.793 Pd
3.793 5.058 -2.529 Pd
5.058 2.529 1.264 Pd
2.529 1.264 5.058 Pd
1.264 5.058 2.529 Pd
-2.529 3.793 5.058 Pd
```

Largest 8 diffraction maxima, by angle, 2θ = 10–80°:
d 3.199, rel. 41
d 2.704, rel. 100
d 2.262, rel. 29
d 2.065, rel. 17
d 1.847, rel. 11
d 1.641, rel. 15
d 1.599, rel. 11
d 1.492, rel. 10

# 11
The following is a computed X-ray diffraction stick pattern of ThBi4Pd15. It was derived from a crystal structure in Alexandria, relaxed with PBE, using Cu Kα, 1.54184 Å.

Structural model:
```
ThBi4Pd15
1.0
4.176 0.000 0.000
0.000 4.176 0.000
0.000 0.000 20.598
Th Bi Pd
1 4 15
Cartesian
0.000 0.000 0.000 Th
0.000 0.000 4.194 Bi
0.000 0.000 8.259 Bi
0.000 0.000 12.339 Bi
0.000 0.000 16.404 Bi
0.000 2.088 2.068 Pd
0.000 2.088 6.209 Pd
0.000 2.088 10.299 Pd
0.000 2.088 14.388 Pd
0.000 2.088 18.530 Pd
2.088 0.000 2.068 Pd
2.088 0.000 6.209 Pd
2.088 0.000 10.299 Pd
2.088 0.000 14.388 Pd
2.088 0.000 18.530 Pd
2.088 2.088 0.000 Pd
2.088 2.088 4.169 Pd
2.088 2.088 8.239 Pd
2.088 2.088 12.358 Pd
2.088 2.088 16.429 Pd
```

Largest 8 diffraction maxima, by angle, 2θ = 10–80°:
d 2.400, rel. 100
d 2.088, rel. 33
d 2.060, rel. 16
d 1.477, rel. 11
d 1.466, rel. 21
d 1.258, rel. 26
d 1.245, rel. 12
d 1.200, rel. 11

# 12
The following is a computed X-ray diffraction stick pattern of TiBi4Pd15. It was derived from a crystal structure in Alexandria, relaxed with PBE, using Cu Kα, 1.54184 Å.

Structural model:
```
TiBi4Pd15
1.0
4.093 0.000 0.000
0.000 4.093 0.000
0.000 0.000 20.562
Ti Bi Pd
1 4 15
Cartesian
0.000 0.000 0.000 Ti
0.000 0.000 3.981 Bi
0.000 0.000 8.177 Bi
0.000 0.000 12.385 Bi
0.000 0.000 16.581 Bi
0.000 2.047 1.826 Pd
0.000 2.047 6.078 Pd
0.000 2.047 10.281 Pd
0.000 2.047 14.484 Pd
0.000 2.047 18.736 Pd
2.047 0.000 1.826 Pd
2.047 0.000 6.078 Pd
2.047 0.000 10.281 Pd
2.047 0.000 14.484 Pd
2.047 0.000 18.736 Pd
2.047 2.047 0.000 Pd
2.047 2.047 3.969 Pd
2.047 2.047 8.176 Pd
2.047 2.047 12.386 Pd
2.047 2.047 16.593 Pd
```

Largest 8 diffraction maxima, by angle, 2θ = 10–80°:
d 2.899, rel. 5
d 2.367, rel. 100
d 2.056, rel. 15
d 2.047, rel. 34
d 1.451, rel. 19
d 1.447, rel. 11
d 1.239, rel. 9
d 1.235, rel. 25

Copy entry 12 word for word.
The following is a computed X-ray diffraction stick pattern of TiBi4Pd15. It was derived from a crystal structure in Alexandria, relaxed with PBE, using Cu Kα, 1.54184 Å.

Structural model:
```
TiBi4Pd15
1.0
4.093 0.000 0.000
0.000 4.093 0.000
0.000 0.000 20.562
Ti Bi Pd
1 4 15
Cartesian
0.000 0.000 0.000 Ti
0.000 0.000 3.981 Bi
0.000 0.000 8.177 Bi
0.000 0.000 12.385 Bi
0.000 0.000 16.581 Bi
0.000 2.047 1.826 Pd
0.000 2.047 6.078 Pd
0.000 2.047 10.281 Pd
0.000 2.047 14.484 Pd
0.000 2.047 18.736 Pd
2.047 0.000 1.826 Pd
2.047 0.000 6.078 Pd
2.047 0.000 10.281 Pd
2.047 0.000 14.484 Pd
2.047 0.000 18.736 Pd
2.047 2.047 0.000 Pd
2.047 2.047 3.969 Pd
2.047 2.047 8.176 Pd
2.047 2.047 12.386 Pd
2.047 2.047 16.593 Pd
```

Largest 8 diffraction maxima, by angle, 2θ = 10–80°:
d 2.899, rel. 5
d 2.367, rel. 100
d 2.056, rel. 15
d 2.047, rel. 34
d 1.451, rel. 19
d 1.447, rel. 11
d 1.239, rel. 9
d 1.235, rel. 25